[1]
Starting from a cell relaxed with PBE, the powder diffraction line list of CuH4I2O8 was computed for a wavelength of 1.5418 Å.
Peak positions follow from Bragg's law for the DFT cell and can differ from measured ones.

Cell and atoms:
Unit cell a=6.712 b=4.978 c=11.452 alpha=90.00 beta=104.46 gamma=90.00
Space group P2_1/c (No. 14)
Asymmetric unit:
Cu  0.000  0.000  0.000 (multiplicity 2)
H  0.180  0.109  0.422 (multiplicity 4)
H  0.337  0.245  0.540 (multiplicity 4)
I  0.263  0.658  0.267 (multiplicity 4)
O  0.081  0.654  0.834 (multiplicity 4)
O  0.214  0.697  0.614 (multiplicity 4)
O  0.224  0.215  0.965 (multiplicity 4)
O  0.496  0.653  0.838 (multiplicity 4)

Top 6 peaks for 10 to 90 degrees two-theta, by angle:
two_theta	d/Å	I_rel
16.0	5.545	63
22.5	3.952	96
25.0	3.556	57
25.6	3.477	100
29.7	3.009	50
30.5	2.931	40


[2]
Starting from a cell relaxed with PBE, the powder diffraction line list of Cu2H2SI2 was computed for a wavelength of 1.5418 Å.
Peak positions follow from Bragg's law for the DFT cell and can differ from measured ones.

Cell and atoms:
Unit cell a=4.179 b=6.846 c=6.991 alpha=107.29 beta=107.27 gamma=107.07
Space group P-1 (No. 2)
Asymmetric unit:
Cu  0.123  0.437  0.309 (multiplicity 2)
H  0.389  0.500  0.000 (multiplicity 2)
S  0.000  0.500  0.000 (multiplicity 1)
I  0.488  0.806  0.681 (multiplicity 2)

Top 6 peaks for 10 to 90 degrees two-theta, by angle:
two_theta	d/Å	I_rel
15.9	5.571	100
22.7	3.912	53
25.0	3.556	53
29.5	3.029	44
32.1	2.785	35
32.3	2.767	36


[3]
Starting from a cell relaxed with PBE, the powder diffraction line list of Rb2InCuH6 was computed for a wavelength of 1.5418 Å.
Peak positions follow from Bragg's law for the DFT cell and can differ from measured ones.

Cell and atoms:
Unit cell a=8.049 b=8.076 c=8.173 alpha=90.00 beta=90.00 gamma=90.00
Space group Fmmm (No. 69)
Asymmetric unit:
Rb  0.250  0.250  0.250 (multiplicity 8)
In  0.000  0.000  0.000 (multiplicity 4)
Cu  0.000  0.000  0.500 (multiplicity 4)
H  0.000  0.000  0.261 (multiplicity 8)
H  0.000  0.231  0.500 (multiplicity 8)
H  0.228  0.000  0.500 (multiplicity 8)

Top 6 peaks for 10 to 90 degrees two-theta, by angle:
two_theta	d/Å	I_rel
31.2	2.870	100
31.4	2.851	49
44.3	2.043	10
55.3	1.661	19
55.7	1.651	19
55.8	1.648	18


[4]
Starting from a cell relaxed with PBE, the powder diffraction line list of CuH3Ir was computed for a wavelength of 1.5418 Å.
Peak positions follow from Bragg's law for the DFT cell and can differ from measured ones.

Cell and atoms:
Unit cell a=4.2824 b=4.2824 c=2.6731 alpha=90.00 beta=90.00 gamma=120.00
Space group P3 (No. 143)
Asymmetric unit:
Cu  0.0000  0.0000  0.0000 (multiplicity 1)
H  0.4956  0.4868  0.0015 (multiplicity 3)
Ir  0.6667  0.3333  0.5014 (multiplicity 1)

Top 6 peaks for 10 to 90 degrees two-theta, by angle:
two_theta	d/Å	I_rel
24.0	3.709	100
41.6	2.168	92
42.2	2.141	55
49.1	1.854	15
60.8	1.524	31
76.8	1.241	30